For Tb2Fe17CN, a cell relaxed with GGA-PBE gives the theoretical powder diffraction line list in this record (λ = 1.5418 Å (Cu Kα)).
Kinematic intensities with the Lorentz-polarization factor, no thermal factor.

Structural model:
Unit cell a=6.4437 b=6.4732 c=6.5073 alpha=83.69 beta=83.45 gamma=83.01
Space group P-1 (No. 2)
Symmetry-distinct sites (fractional):
Tb: 0.1613 0.1529 0.1602 (multiplicity 2)
Fe: 0.0000 0.5000 0.5000 (multiplicity 1)
Fe: 0.1550 0.6474 0.1594 (multiplicity 2)
Fe: 0.1558 0.1573 0.6476 (multiplicity 2)
Fe: 0.2083 0.7899 0.5016 (multiplicity 2)
Fe: 0.2134 0.5019 0.7849 (multiplicity 2)
Fe: 0.3507 0.8434 0.8408 (multiplicity 2)
Fe: 0.4041 0.4047 0.4047 (multiplicity 2)
Fe: 0.5000 0.0000 0.5000 (multiplicity 1)
Fe: 0.4996 0.2171 0.7830 (multiplicity 2)
Fe: 0.5000 0.5000 0.0000 (multiplicity 1)
C: 0.0000 0.5000 0.0000 (multiplicity 1)
N: 0.5000 0.0000 0.0000 (multiplicity 1)

Largest 6 diffraction maxima, in order of rising 2θ, 2θ from 10° to 90°:
2θ (°)  I_rel  h k l
37.66  56  2 2 0
41.72  48  0 2 -2
41.93  48  2 0 -2
42.19  77  2 -2 0
42.45  100  -1 2 2
43.67  74  2 2 2